Entry 1:
For Na2InCuF6, a structure optimized by DFT (PBE) gives the simulated powder diffraction line list in this record (Cu Kα (weighted mean of Kα1 and Kα2)).
No peak broadening, texture or thermal motion is included.

Top 8 peaks for 10 to 80 degrees two-theta, sorted by position:
| d_spacing | Rel. int. |
| --- | --- |
| 4.250 | 100.0 |
| 3.005 | 99.2 |
| 2.125 | 58.7 |
| 1.901 | 41.3 |
| 1.735 | 39.4 |
| 1.503 | 33.7 |
| 1.417 | 18.2 |
| 1.344 | 16.4 |

Cell and atoms:
```
data_Na2InCuF6
_chemical_formula_sum 'Na8 In4 Cu4 F24'
_space_group_name_H-M_alt 'F m -3 m'
_space_group_IT_number 225
_space_group_name_Hall '-F 4 2 3'
_cell_length_a 8.4996
_cell_length_b 8.4996
_cell_length_c 8.4996
_cell_angle_alpha 90.00
_cell_angle_beta 90.00
_cell_angle_gamma 90.00
loop_
_atom_site_label
_atom_site_type_symbol
_atom_site_fract_x
_atom_site_fract_y
_atom_site_fract_z
Na1 Na 0.2500 0.2500 0.2500
In1 In 0.0000 0.0000 0.0000
Cu1 Cu 0.0000 0.0000 0.5000
F1 F 0.0000 0.0000 0.2494
```



Entry 2:
For SrLaGaCuO5, a structure optimized by DFT (PBE) gives the simulated powder diffraction line list in this record (Cu Kα (weighted mean of Kα1 and Kα2)).
No peak broadening, texture or thermal motion is included.

Top 8 peaks for 10 to 80 degrees two-theta, sorted by position:
| d_spacing | Rel. int. |
| --- | --- |
| 2.836 | 100.0 |
| 2.801 | 29.1 |
| 2.677 | 31.4 |
| 2.257 | 20.5 |
| 2.084 | 11.9 |
| 1.935 | 26.5 |
| 1.624 | 15.4 |
| 1.574 | 17.5 |

Cell and atoms:
```
data_SrLaGaCuO5
_chemical_formula_sum 'Sr4 La4 Ga4 Cu4 O20'
_space_group_name_H-M_alt 'C 1 m 1'
_space_group_IT_number 8
_cell_length_a 7.7445
_cell_length_b 16.6738
_cell_length_c 5.3534
_cell_angle_alpha 90.00
_cell_angle_beta 133.67
_cell_angle_gamma 90.00
loop_
_space_group_symop_operation_xyz
'x,y,z'
'x,-y,z'
'x+1/2,y+1/2,z'
'x+1/2,-y+1/2,z'
loop_
_atom_site_label
_atom_site_type_symbol
_atom_site_fract_x
_atom_site_fract_y
_atom_site_fract_z
Sr1 Sr 0.0000 0.1393 0.0000
La1 La 0.0404 0.3525 0.0408
Ga1 Ga 0.0778 0.0000 0.6212
Ga2 Ga 0.4443 0.0000 0.4816
Cu1 Cu 0.0154 0.2505 0.5133
O1 O 0.0611 0.3993 0.5311
O2 O 0.1332 0.0000 0.0276
O3 O 0.2630 0.2456 0.0129
O4 O 0.2665 0.2448 0.5157
O5 O 0.3931 0.0000 0.7925
O6 O 0.4391 0.4026 0.4131
```



Entry 3:
For MgSn2O4, a structure optimized by DFT (PBE) gives the simulated powder diffraction line list in this record (Cu Kα (weighted mean of Kα1 and Kα2)).
No peak broadening, texture or thermal motion is included.

Top 8 peaks for 10 to 80 degrees two-theta, sorted by position:
| d_spacing | Rel. int. |
| --- | --- |
| 5.435 | 38.5 |
| 4.830 | 35.3 |
| 3.048 | 36.4 |
| 3.007 | 100.0 |
| 2.695 | 24.6 |
| 2.381 | 32.7 |
| 2.333 | 28.9 |
| 2.181 | 28.6 |

Cell and atoms:
```
data_MgSn2O4
_chemical_formula_sum 'Mg4 Sn8 O16'
_space_group_name_H-M_alt 'C m c m'
_space_group_IT_number 63
_space_group_name_Hall '-C 2c 2'
_cell_length_a 3.1781
_cell_length_b 10.7818
_cell_length_c 10.8694
_cell_angle_alpha 90.00
_cell_angle_beta 90.00
_cell_angle_gamma 90.00
loop_
_atom_site_label
_atom_site_type_symbol
_atom_site_fract_x
_atom_site_fract_y
_atom_site_fract_z
Mg1 Mg 0.0000 0.1080 0.2500
Sn1 Sn 0.0000 0.3682 0.0787
O1 O 0.0000 0.0000 0.0000
O2 O 0.0000 0.2776 0.6193
O3 O 0.0000 0.4803 0.2500
```



Entry 4:
For HoAlCo, a structure optimized by DFT (PBE) gives the simulated powder diffraction line list in this record (Cu Kα (weighted mean of Kα1 and Kα2)).
No peak broadening, texture or thermal motion is included.

Top 8 peaks for 10 to 80 degrees two-theta, sorted by position:
| d_spacing | Rel. int. |
| --- | --- |
| 4.646 | 31.2 |
| 2.695 | 39.0 |
| 2.658 | 59.6 |
| 2.394 | 100.0 |
| 2.385 | 38.8 |
| 2.266 | 35.9 |
| 2.245 | 87.9 |
| 2.239 | 48.6 |

Cell and atoms:
```
data_HoAlCo
_chemical_formula_sum 'Ho8 Al8 Co8'
_space_group_name_H-M_alt 'A m m 2'
_space_group_IT_number 38
_cell_length_a 8.3806
_cell_length_b 5.3894
_cell_length_c 9.1665
_cell_angle_alpha 90.00
_cell_angle_beta 90.00
_cell_angle_gamma 90.00
loop_
_space_group_symop_operation_xyz
'x,y,z'
'-x,-y,z'
'-x,y,z'
'x,-y,z'
'x,y+1/2,z+1/2'
'-x,-y+1/2,z+1/2'
'-x,y+1/2,z+1/2'
'x,-y+1/2,z+1/2'
loop_
_atom_site_label
_atom_site_type_symbol
_atom_site_fract_x
_atom_site_fract_y
_atom_site_fract_z
Ho1 Ho 0.1743 0.0000 0.0000
Ho2 Ho 0.2969 0.0000 0.6628
Al1 Al 0.2297 0.0000 0.3248
Al2 Al 0.5000 0.2470 0.9161
Co1 Co 0.0000 0.0000 0.5019
Co2 Co 0.0000 0.2394 0.7405
Co3 Co 0.5000 0.0000 0.1617
```



Entry 5:
For BaMg6AlO8, a structure optimized by DFT (PBE) gives the simulated powder diffraction line list in this record (Cu Kα (weighted mean of Kα1 and Kα2)).
No peak broadening, texture or thermal motion is included.

Top 8 peaks for 10 to 80 degrees two-theta, sorted by position:
| d_spacing | Rel. int. |
| --- | --- |
| 8.614 | 38.6 |
| 4.766 | 34.6 |
| 4.170 | 38.4 |
| 2.654 | 46.0 |
| 2.383 | 100.0 |
| 2.153 | 32.4 |
| 1.685 | 31.0 |
| 1.598 | 46.1 |

Cell and atoms:
```
data_BaMg6AlO8
_chemical_formula_sum 'Ba1 Mg6 Al1 O8'
_space_group_name_H-M_alt 'P 4/m m m'
_space_group_IT_number 123
_space_group_name_Hall '-P 4 2'
_cell_length_a 4.7659
_cell_length_b 4.7659
_cell_length_c 8.6138
_cell_angle_alpha 90.00
_cell_angle_beta 90.00
_cell_angle_gamma 90.00
loop_
_atom_site_label
_atom_site_type_symbol
_atom_site_fract_x
_atom_site_fract_y
_atom_site_fract_z
Ba1 Ba 0.0000 0.0000 0.0000
Mg1 Mg 0.0000 0.5000 0.2630
Mg2 Mg 0.5000 0.5000 0.0000
Mg3 Mg 0.5000 0.5000 0.5000
Al1 Al 0.0000 0.0000 0.5000
O1 O 0.0000 0.0000 0.2949
O2 O 0.0000 0.5000 0.0000
O3 O 0.0000 0.5000 0.5000
O4 O 0.5000 0.5000 0.2502
```



Entry 6:
For Y5Sb3F, a structure optimized by DFT (PBE) gives the simulated powder diffraction line list in this record (Cu Kα (weighted mean of Kα1 and Kα2)).
No peak broadening, texture or thermal motion is included.

Top 8 peaks for 10 to 80 degrees two-theta, sorted by position:
| d_spacing | Rel. int. |
| --- | --- |
| 3.141 | 24.6 |
| 2.673 | 98.2 |
| 2.605 | 78.6 |
| 2.578 | 100.0 |
| 2.049 | 24.0 |
| 1.832 | 23.2 |
| 1.708 | 28.2 |
| 1.345 | 18.7 |

Cell and atoms:
```
data_Y5Sb3F
_chemical_formula_sum 'Y10 Sb6 F2'
_space_group_name_H-M_alt 'P 63/m c m'
_space_group_IT_number 193
_space_group_name_Hall '-P 6c 2'
_cell_length_a 9.0231
_cell_length_b 9.0231
_cell_length_c 6.2814
_cell_angle_alpha 90.00
_cell_angle_beta 90.00
_cell_angle_gamma 120.00
loop_
_atom_site_label
_atom_site_type_symbol
_atom_site_fract_x
_atom_site_fract_y
_atom_site_fract_z
Y1 Y 0.0000 0.2580 0.2500
Y2 Y 0.3333 0.6667 0.0000
Sb1 Sb 0.0000 0.3848 0.7500
F1 F 0.0000 0.0000 0.0000
```



Entry 7:
For HoHSe, a structure optimized by DFT (PBE) gives the simulated powder diffraction line list in this record (Cu Kα (weighted mean of Kα1 and Kα2)).
No peak broadening, texture or thermal motion is included.

Top 8 peaks for 10 to 80 degrees two-theta, sorted by position:
| d_spacing | Rel. int. |
| --- | --- |
| 3.311 | 44.0 |
| 2.523 | 100.0 |
| 1.948 | 10.1 |
| 1.912 | 28.5 |
| 1.679 | 12.7 |
| 1.524 | 21.1 |
| 1.364 | 18.8 |
| 1.209 | 9.9 |

Cell and atoms:
```
data_HoHSe
_chemical_formula_sum 'Ho1 H1 Se1'
_space_group_name_H-M_alt 'P -6 m 2'
_space_group_IT_number 187
_space_group_name_Hall 'P -6 2'
_cell_length_a 3.8230
_cell_length_b 3.8230
_cell_length_c 3.8964
_cell_angle_alpha 90.00
_cell_angle_beta 90.00
_cell_angle_gamma 120.00
loop_
_atom_site_label
_atom_site_type_symbol
_atom_site_fract_x
_atom_site_fract_y
_atom_site_fract_z
Ho1 Ho 0.0000 0.0000 0.0000
H1 H 0.6667 0.3333 0.0000
Se1 Se 0.3333 0.6667 0.5000
```



Entry 8:
For TmBiO3, a structure optimized by DFT (PBE) gives the simulated powder diffraction line list in this record (Cu Kα (weighted mean of Kα1 and Kα2)).
No peak broadening, texture or thermal motion is included.

Top 8 peaks for 10 to 80 degrees two-theta, sorted by position:
| d_spacing | Rel. int. |
| --- | --- |
| 4.255 | 17.0 |
| 3.044 | 92.0 |
| 2.975 | 100.0 |
| 2.127 | 39.9 |
| 1.921 | 29.0 |
| 1.730 | 40.7 |
| 1.717 | 26.4 |
| 1.336 | 15.7 |

Cell and atoms:
```
data_TmBiO3
_chemical_formula_sum 'Tm6 Bi6 O18'
_space_group_name_H-M_alt 'R -3'
_space_group_IT_number 148
_space_group_name_Hall '-R 3'
_cell_length_a 5.9495
_cell_length_b 5.9495
_cell_length_c 15.0892
_cell_angle_alpha 90.00
_cell_angle_beta 90.00
_cell_angle_gamma 120.00
loop_
_atom_site_label
_atom_site_type_symbol
_atom_site_fract_x
_atom_site_fract_y
_atom_site_fract_z
Tm1 Tm 0.0000 0.0000 0.1430
Bi1 Bi 0.0000 0.0000 0.3579
O1 O 0.0354 0.2959 0.7502
```